[1]
Simulated X-ray powder pattern
Compound: Na2B3C
Radiation: Cu Kα, 1.54184 Å
Structure: DFT lattice parameters and positions (PBE)
Kinematic intensities with the Lorentz-polarization factor, no thermal factor.

Main lines, in order of rising 2θ (2θ from 10° to 80°):
- (0 0 2), 2θ = 20.63°, 4.305 Å, intensity 1
- (2 -1 0), 2θ = 35.55°, 2.526 Å, intensity 19
- (1 2 1), 2θ = 41.45°, 2.178 Å, intensity 100
- (0 0 4), 2θ = 41.97°, 2.153 Å, intensity 25
- (2 -1 4), 2θ = 56.14°, 1.638 Å, intensity 10
- (3 1 -1), 2θ = 63.84°, 1.458 Å, intensity 17
- (0 5 0), 2θ = 67.86°, 1.381 Å, intensity 2
- (2 -6 2), 2θ = 75.25°, 1.263 Å, intensity 2
- (1 2 5), 2θ = 76.32°, 1.248 Å, intensity 13
- (4 -2 2), 2θ = 79.01°, 1.212 Å, intensity 7
- (2 -6 4), 2θ = 79.05°, 1.211 Å, intensity 4
- (3 1 3), 2θ = 79.37°, 1.207 Å, intensity 17

Structure:
```
data_Na2B3C
_cell_length_a 5.0522
_cell_length_b 7.7134
_cell_length_c 9.0903
_cell_angle_alpha 107.63
_cell_angle_beta 90.02
_cell_angle_gamma 109.09
_symmetry_space_group_name_H-M 'P 1'
_symmetry_Int_Tables_number 1
_symmetry_space_group_name_Hall 'P 1'
loop_
_atom_site_label
_atom_site_type_symbol
_atom_site_fract_x
_atom_site_fract_y
_atom_site_fract_z
_atom_site_occupancy
Na1 Na 0.0000 0.0000 0.0000 1
Na2 Na 0.0966 0.1991 0.4970 1
Na3 Na 0.1980 0.4017 0.0009 1
Na4 Na 0.2991 0.5987 0.4932 1
Na5 Na 0.4015 0.8026 0.0002 1
Na6 Na 0.4999 0.0014 0.4969 1
Na7 Na 0.6004 0.2012 0.9985 1
Na8 Na 0.6999 0.3999 0.4973 1
Na9 Na 0.8000 0.6001 0.9988 1
Na10 Na 0.9006 0.7990 0.4956 1
B1 B 0.0171 0.7123 0.7478 1
B2 B 0.0833 0.5022 0.7482 1
B3 B 0.1722 0.7021 0.2483 1
B4 B 0.2213 0.0829 0.7474 1
B5 B 0.3117 0.2983 0.2477 1
B6 B 0.3889 0.0907 0.2469 1
B7 B 0.4395 0.5181 0.7478 1
B8 B 0.4683 0.3001 0.7475 1
B9 B 0.5140 0.7027 0.2482 1
B10 B 0.6037 0.5006 0.2491 1
B11 B 0.6047 0.8882 0.7478 1
B12 B 0.7983 0.9096 0.2471 1
B13 B 0.8196 0.3008 0.7483 1
B14 B 0.8812 0.0988 0.7481 1
B15 B 0.9702 0.2988 0.2479 1
C1 C 0.1154 0.9001 0.2473 1
C2 C 0.2878 0.8960 0.7474 1
C3 C 0.6922 0.7046 0.7481 1
C4 C 0.7154 0.1002 0.2466 1
C5 C 0.9131 0.5009 0.2493 1
```


[2]
Simulated X-ray powder pattern
Compound: Dy3Y5Er2
Radiation: Cu Kα, 1.54184 Å
Structure: DFT lattice parameters and positions (PBE)
Kinematic intensities with the Lorentz-polarization factor, no thermal factor.

Main lines, in order of rising 2θ (2θ from 10° to 80°):
- (2 2 -1), 2θ = 20.02°, 4.436 Å, intensity 21
- (0 4 0), 2θ = 22.38°, 3.972 Å, intensity 17
- (2 4 0), 2θ = 30.33°, 2.947 Å, intensity 69
- (2 2 1), 2θ = 30.69°, 2.913 Å, intensity 100
- (0 4 2), 2θ = 32.32°, 2.770 Å, intensity 30
- (4 0 -2), 2θ = 33.52°, 2.673 Å, intensity 43
- (2 6 -1), 2θ = 37.92°, 2.373 Å, intensity 26
- (2 0 2), 2θ = 38.81°, 2.321 Å, intensity 20
- (4 4 -4), 2θ = 47.26°, 1.923 Å, intensity 21
- (0 6 3), 2θ = 49.36°, 1.846 Å, intensity 18
- (4 6 1), 2θ = 60.99°, 1.519 Å, intensity 19
- (2 4 4), 2θ = 67.33°, 1.391 Å, intensity 19

Structure:
```
data_Dy3Y5Er2
_cell_length_a 10.6933
_cell_length_b 15.8875
_cell_length_c 9.3960
_cell_angle_alpha 90.00
_cell_angle_beta 124.67
_cell_angle_gamma 90.00
_symmetry_space_group_name_H-M 'C 1 2/c 1'
_symmetry_Int_Tables_number 15
_symmetry_space_group_name_Hall '-C 2yc'
loop_
_atom_site_label
_atom_site_type_symbol
_atom_site_fract_x
_atom_site_fract_y
_atom_site_fract_z
_atom_site_occupancy
Dy1 Dy 0.0000 0.2201 0.2500 1
Dy2 Dy 0.1477 0.1294 0.0469 1
Y1 Y 0.0000 0.0201 0.2500 1
Y2 Y 0.0000 0.2793 0.7500 1
Y3 Y 0.0000 0.4799 0.7500 1
Y4 Y 0.2490 0.3628 0.2497 1
Er1 Er 0.1489 0.3692 0.5461 1
```


[3]
Simulated X-ray powder pattern
Compound: Y3Er3MgSe8
Radiation: Cu Kα, 1.54184 Å
Structure: DFT lattice parameters and positions (PBE)
Kinematic intensities with the Lorentz-polarization factor, no thermal factor.

Main lines, in order of rising 2θ (2θ from 10° to 80°):
- (0 0 3), 2θ = 13.37°, 6.624 Å, intensity 9
- (0 1 2), 2θ = 15.49°, 5.720 Å, intensity 14
- (1 1 0), 2θ = 21.98°, 4.045 Å, intensity 12
- (0 2 4), 2θ = 31.27°, 2.860 Å, intensity 100
- (1 2 2), 2θ = 35.08°, 2.558 Å, intensity 8
- (2 0 8), 2θ = 44.74°, 2.025 Å, intensity 37
- (2 2 0), 2θ = 44.89°, 2.019 Å, intensity 36
- (0 0 12), 2θ = 55.48°, 1.656 Å, intensity 6
- (4 0 4), 2θ = 55.72°, 1.650 Å, intensity 19
- (0 4 8), 2θ = 65.24°, 1.430 Å, intensity 12
- (2 2 12), 2θ = 74.03°, 1.281 Å, intensity 16
- (2 4 4), 2θ = 74.24°, 1.278 Å, intensity 16

Structure:
```
data_Y3Er3MgSe8
_cell_length_a 8.0773
_cell_length_b 8.0773
_cell_length_c 19.8753
_cell_angle_alpha 90.00
_cell_angle_beta 90.00
_cell_angle_gamma 120.00
_symmetry_space_group_name_H-M 'R -3 m'
_symmetry_Int_Tables_number 166
_symmetry_space_group_name_Hall '-R 3 2"'
loop_
_atom_site_label
_atom_site_type_symbol
_atom_site_fract_x
_atom_site_fract_y
_atom_site_fract_z
_atom_site_occupancy
Y1 Y 0.0000 0.5000 0.0000 1
Er1 Er 0.0000 0.5000 0.5000 1
Mg1 Mg 0.0000 0.0000 0.5000 1
Se1 Se 0.0000 0.0000 0.2486 1
Se2 Se 0.0060 0.5030 0.2471 1
```